Diffraction record for ScU3S4. The powder diffraction line list is calculated, not measured: it uses a crystal structure in Alexandria, relaxed with PBE and copper Kα.
Kinematic intensities with the Lorentz-polarization factor, no thermal factor.

Largest 8 diffraction maxima, sorted by position, 2θ = 15–90°:
d = 3.200 Å, I = 40; d = 3.116 Å, I = 69; d = 3.056 Å, I = 36; d = 2.709 Å, I = 51; d = 2.699 Å, I = 100; d = 1.946 Å, I = 38; d = 1.880 Å, I = 35; d = 1.558 Å, I = 19

Crystal structure
Cell lengths 6.7919, 7.6181, 6.4874 Å; angles 90.00, 109.57, 90.00 degrees
Positions (direct):
Sc  0.0000  0.1247  0.2500
Sc  0.0000  0.8753  0.7500
U  0.0000  0.3785  0.7500
U  0.0000  0.6215  0.2500
U  0.5000  0.1220  0.7500
U  0.5000  0.3804  0.2500
U  0.5000  0.6196  0.7500
U  0.5000  0.8780  0.2500
S  0.2372  0.1213  0.9981
S  0.2372  0.8787  0.4981
S  0.2428  0.3653  0.4941
S  0.2428  0.6347  0.9941
S  0.7572  0.3653  0.0059
S  0.7572  0.6347  0.5059
S  0.7628  0.1213  0.5019
S  0.7628  0.8787  0.0019

Diffraction record for AcThBN3. The powder diffraction line list is calculated, not measured: it uses a crystal structure in Alexandria, relaxed with PBE and copper Kα.
Kinematic intensities with the Lorentz-polarization factor, no thermal factor.

Largest 8 diffraction maxima, sorted by position, 2θ = 15–90°:
d = 4.857 Å, I = 20; d = 3.992 Å, I = 58; d = 2.841 Å, I = 100; d = 2.804 Å, I = 83; d = 2.295 Å, I = 23; d = 1.996 Å, I = 42; d = 1.626 Å, I = 37; d = 1.486 Å, I = 26

Crystal structure
Cell lengths 5.6088, 5.6088, 7.0060 Å; angles 90.00, 90.00, 120.00 degrees
Positions (direct):
Ac  0.3333  0.6667  0.2500
Ac  0.6667  0.3333  0.7500
Th  0.0000  0.0000  0.0000
Th  0.0000  0.0000  0.5000
B  0.3333  0.6667  0.7500
B  0.6667  0.3333  0.2500
N  0.1807  0.3614  0.7500
N  0.1807  0.8193  0.7500
N  0.3614  0.1807  0.2500
N  0.6386  0.8193  0.7500
N  0.8193  0.1807  0.2500
N  0.8193  0.6386  0.2500

Diffraction record for Pa2CdS5. The powder diffraction line list is calculated, not measured: it uses a crystal structure in Alexandria, relaxed with PBE and copper Kα.
Kinematic intensities with the Lorentz-polarization factor, no thermal factor.

Largest 8 diffraction maxima, sorted by position, 2θ = 15–90°:
d = 3.719 Å, I = 63; d = 3.486 Å, I = 100; d = 3.268 Å, I = 49; d = 3.212 Å, I = 40; d = 2.576 Å, I = 50; d = 2.430 Å, I = 74; d = 2.099 Å, I = 36; d = 1.943 Å, I = 35

Crystal structure
Cell lengths 7.4384, 11.8371, 3.8234 Å; angles 90.00, 90.00, 90.00 degrees
Positions (direct):
Pa  0.0125  0.1754  0.0000
Pa  0.4875  0.6754  0.0000
Pa  0.5125  0.3246  0.0000
Pa  0.9875  0.8246  0.0000
Cd  0.0000  0.5000  0.5000
Cd  0.5000  0.0000  0.5000
S  0.0000  0.0000  0.5000
S  0.1627  0.3929  0.0000
S  0.1965  0.7007  0.5000
S  0.3035  0.2007  0.5000
S  0.3373  0.8929  0.0000
S  0.5000  0.5000  0.5000
S  0.6627  0.1071  0.0000
S  0.6965  0.7993  0.5000
S  0.8035  0.2993  0.5000
S  0.8373  0.6071  0.0000

Diffraction record for RbCdI. The powder diffraction line list is calculated, not measured: it uses a crystal structure in Alexandria, relaxed with PBE and copper Kα.
Kinematic intensities with the Lorentz-polarization factor, no thermal factor.

Largest 8 diffraction maxima, sorted by position, 2θ = 15–90°:
d = 3.688 Å, I = 59; d = 3.360 Å, I = 100; d = 3.175 Å, I = 24; d = 2.862 Å, I = 82; d = 2.820 Å, I = 38; d = 2.764 Å, I = 45; d = 2.212 Å, I = 29; d = 1.667 Å, I = 17

Crystal structure
Cell lengths 7.1523, 7.1523, 7.7642 Å; angles 104.55, 104.55, 45.47 degrees
Positions (direct):
Rb  0.0000  0.0000  0.0000
Rb  0.6578  0.6578  0.6157
Cd  0.3884  0.3884  0.2624
Cd  0.9484  0.9484  0.4534
I  0.3488  0.3488  0.7214
I  0.6929  0.6929  0.1306